(1)
Theoretical powder diffractogram
Compound: KGa2
Radiation: copper Kα
Structure: a GGA-PBE-relaxed structure
Peak positions follow from Bragg's law for the DFT cell and can differ from measured ones.

Cell and atoms:
a = 4.4968 Å, b = 4.4968 Å, c = 8.3120 Å
α = 90.00°, β = 90.00°, γ = 90.00°
Space group P4/nmm (No. 129, origin choice 2)
Symmetry-distinct sites (fractional):
K (0.2500, 0.2500, 0.1606)
Ga (0.2500, 0.2500, 0.6836)
Ga (0.2500, 0.7500, 0.5000)

Largest 6 diffraction maxima, in order of rising 2θ, 2θ from 15° to 90°:
h k l, 2θ/deg, Rel. int.
1 0 2, 29.26, 719
1 1 1, 30.09, 343
1 1 2, 35.55, 1000
2 0 0, 40.10, 630
1 1 3, 43.31, 315
2 1 2, 50.41, 290


(2)
Theoretical powder diffractogram
Compound: K4La3GaO8
Radiation: copper Kα
Structure: a GGA-PBE-relaxed structure
Peak positions follow from Bragg's law for the DFT cell and can differ from measured ones.

Cell and atoms:
a = 12.9053 Å, b = 7.0731 Å, c = 7.4308 Å
α = 90.00°, β = 121.58°, γ = 90.00°
Space group C2/m (No. 12)
Symmetry-distinct sites (fractional):
K (0.0000, 0.0000, 0.0000)
K (0.0000, 0.5000, 0.0000)
K (0.2500, 0.2500, 0.0000)
La (0.0000, 0.0000, 0.5000)
La (0.2500, 0.2500, 0.5000)
Ga (0.0000, 0.5000, 0.5000)
O (0.0214, 0.2925, 0.3348)
O (0.2193, 0.0000, 0.6909)
O (0.2299, 0.0000, 0.2706)

Largest 6 diffraction maxima, in order of rising 2θ, 2θ from 15° to 90°:
h k l, 2θ/deg, Rel. int.
0 0 2, 28.19, 494
4 0 -2, 29.87, 385
2 2 0, 30.05, 748
4 0 0, 32.58, 633
2 2 -2, 35.06, 1000
2 2 2, 47.51, 363


(3)
Theoretical powder diffractogram
Compound: K3La3GaS8
Radiation: copper Kα
Structure: a GGA-PBE-relaxed structure
Peak positions follow from Bragg's law for the DFT cell and can differ from measured ones.

Cell and atoms:
a = 14.4676 Å, b = 8.3501 Å, c = 8.8775 Å
α = 90.00°, β = 122.92°, γ = 90.00°
Space group C2/m (No. 12)
Symmetry-distinct sites (fractional):
K (0.0000, 0.0000, 0.0000)
K (0.2500, 0.2500, 0.0000)
La (0.0000, 0.5000, 0.5000)
La (0.2500, 0.2500, 0.5000)
Ga (0.0000, 0.0000, 0.5000)
S (0.0115, 0.2235, 0.3109)
S (0.2110, 0.0000, 0.6883)
S (0.2365, 0.5000, 0.7093)

Largest 6 diffraction maxima, in order of rising 2θ, 2θ from 15° to 90°:
h k l, 2θ/deg, Rel. int.
2 2 -1, 24.94, 229
2 2 0, 25.90, 239
2 2 -2, 29.42, 1000
4 0 1, 37.57, 217
4 0 -4, 40.81, 323
0 4 0, 43.34, 334


(4)
Theoretical powder diffractogram
Compound: KLiGa3
Radiation: copper Kα
Structure: a GGA-PBE-relaxed structure
Peak positions follow from Bragg's law for the DFT cell and can differ from measured ones.

Cell and atoms:
a = 6.4530 Å, b = 4.5453 Å, c = 7.9071 Å
α = 90.00°, β = 114.03°, γ = 90.00°
Space group P2_1/m (No. 11)
Symmetry-distinct sites (fractional):
K (0.0790, 0.2500, 0.1570)
Li (0.3460, 0.7500, 0.6928)
Ga (0.0599, 0.2500, 0.5969)
Ga (0.4509, 0.2500, 0.9019)
Ga (0.4631, 0.7500, 0.4031)

Largest 6 diffraction maxima, in order of rising 2θ, 2θ from 15° to 90°:
h k l, 2θ/deg, Rel. int.
0 1 1, 23.11, 284
2 0 -2, 30.35, 1000
0 2 0, 39.66, 297
0 1 3, 42.50, 720
0 0 4, 50.60, 209
2 2 -2, 50.74, 321